CaLa4Ga2Fe2O12: computed X-ray powder pattern (λ = 1.5418 Å (Cu Kα)), based on a cell relaxed with PBE+U.
Intensities are scaled so that the largest is 100.

abc: 6.3382 6.5082 7.3206
angles: 89.13 86.29 89.80
Sites, in units of the cell vectors:
Ca 0.0000 0.0000 0.0000
La 0.1909 0.1221 0.5472
La 0.3025 0.3426 0.0778
La 0.5120 0.8251 0.0236
La 0.5920 0.6396 0.5320
Ga 0.0329 0.6265 0.7757
Ga 0.7556 0.1778 0.3160
Fe 0.1065 0.7065 0.3141
Fe 0.6572 0.2415 0.7804
O 0.1226 0.6750 0.0126
O 0.2097 0.7313 0.5777
O 0.2574 0.0094 0.2366
O 0.3437 0.0739 0.8373
O 0.4312 0.5833 0.2637
O 0.5019 0.5199 0.8313
O 0.5619 0.2450 0.5092
O 0.6758 0.1745 0.0716
O 0.8161 0.8852 0.3182
O 0.8224 0.8418 0.7734
O 0.9720 0.3436 0.7656
O 0.9863 0.3576 0.3373

Principal peaks in the range 5° ≤ 2θ ≤ 70°, low angle first:
2θ/deg, Rel. int.
23.7, 45
27.4, 100
29.9, 65
30.1, 51
30.2, 45
30.9, 64
31.5, 88
32.0, 63
32.3, 52
34.5, 44

***

V3CoP4O16: computed X-ray powder pattern (λ = 1.5418 Å (Cu Kα)), based on a cell relaxed with PBE+U.
Intensities are scaled so that the largest is 100.

abc: 4.8936 5.8918 10.0224
angles: 90.00 90.50 90.00
Sites, in units of the cell vectors:
V 0.0000 0.0000 0.0000
V 0.0644 0.5000 0.5475
V 0.5673 0.0000 0.5082
Co 0.5073 0.5000 0.0535
P 0.1348 0.0000 0.6830
P 0.4369 0.0000 0.1777
P 0.6298 0.5000 0.3728
P 0.9837 0.5000 0.8719
O 0.2064 0.0000 0.8332
O 0.2787 0.1993 0.1054
O 0.2787 0.8007 0.1054
O 0.2810 0.2034 0.6095
O 0.2810 0.7966 0.6095
O 0.2887 0.5000 0.8879
O 0.3241 0.5000 0.4005
O 0.3964 0.0000 0.3280
O 0.6967 0.5000 0.2268
O 0.7446 0.0000 0.1478
O 0.7775 0.2964 0.4498
O 0.7775 0.7036 0.4498
O 0.8276 0.0000 0.6599
O 0.8418 0.2909 0.9473
O 0.8418 0.7091 0.9473
O 0.8922 0.5000 0.7263

Principal peaks in the range 5° ≤ 2θ ≤ 70°, low angle first:
2θ/deg, Rel. int.
17.7, 92
20.1, 75
20.3, 62
23.3, 44
25.2, 61
25.3, 56
30.3, 100
35.8, 69
36.1, 68
36.7, 46

***

MgMn3Zn2O8: computed X-ray powder pattern (λ = 1.5418 Å (Cu Kα)), based on a cell relaxed with PBE+U.
Intensities are scaled so that the largest is 100.

abc: 5.1709 5.5954 6.0103
angles: 62.98 85.93 82.39
Sites, in units of the cell vectors:
Mg 0.0000 0.0000 0.0000
Mn 0.0006 0.7370 0.7195
Mn 0.0041 0.2722 0.2711
Mn 0.5030 0.5045 0.0105
Zn 0.4721 0.2166 0.6486
Zn 0.5292 0.8007 0.3544
O 0.1325 0.1095 0.6113
O 0.1656 0.6094 0.1153
O 0.3042 0.1223 0.1410
O 0.3575 0.5733 0.6823
O 0.6603 0.4410 0.3292
O 0.7012 0.8914 0.8526
O 0.8550 0.3857 0.9320
O 0.8661 0.9327 0.3567

Principal peaks in the range 5° ≤ 2θ ≤ 70°, low angle first:
2θ/deg, Rel. int.
23.5, 21
26.7, 21
32.3, 41
33.5, 100
35.0, 43
35.4, 29
36.1, 33
37.7, 18
44.9, 24
60.6, 20

***

BaSrPrVO6: computed X-ray powder pattern (λ = 1.5418 Å (Cu Kα)), based on a cell relaxed with PBE+U.
Intensities are scaled so that the largest is 100.

abc: 5.9962 5.9962 5.9962
angles: 60.00 60.00 60.00
Sites, in units of the cell vectors:
Ba 0.0000 0.0000 0.0000
Sr 0.5000 0.5000 0.5000
Pr 0.2500 0.2500 0.2500
V 0.7500 0.7500 0.7500
O 0.5247 0.5247 0.9753
O 0.5247 0.9753 0.5247
O 0.5247 0.9753 0.9753
O 0.9753 0.5247 0.5247
O 0.9753 0.5247 0.9753
O 0.9753 0.9753 0.5247

Principal peaks in the range 5° ≤ 2θ ≤ 70°, low angle first:
2θ/deg, Rel. int.
18.1, 11
29.8, 100
35.1, 10
36.7, 4
42.6, 32
46.7, 6
52.9, 39
56.4, 3
61.9, 19
65.1, 3

***

Ba2ZrWO6: computed X-ray powder pattern (λ = 1.5418 Å (Cu Kα)), based on a cell relaxed with PBE+U.
Intensities are scaled so that the largest is 100.

abc: 5.9472 5.9472 5.9472
angles: 60.00 60.00 60.00
Sites, in units of the cell vectors:
Ba 0.2500 0.2500 0.2500
Ba 0.7500 0.7500 0.7500
Zr 0.0000 0.0000 0.0000
W 0.5000 0.5000 0.5000
O 0.2526 0.2526 0.7474
O 0.2526 0.7474 0.2526
O 0.2526 0.7474 0.7474
O 0.7474 0.2526 0.2526
O 0.7474 0.2526 0.7474
O 0.7474 0.7474 0.2526

Principal peaks in the range 5° ≤ 2θ ≤ 70°, low angle first:
2θ/deg, Rel. int.
18.3, 7
30.1, 100
35.4, 4
37.0, 1
43.0, 29
47.1, 2
53.4, 41
56.9, 1
62.5, 18
65.7, 1

***

V2Fe3NiP6O24: computed X-ray powder pattern (λ = 1.5418 Å (Cu Kα)), based on a cell relaxed with PBE+U.
Intensities are scaled so that the largest is 100.

abc: 8.3688 8.3688 8.3688
angles: 62.35 62.35 62.35
Sites, in units of the cell vectors:
V 0.0000 0.0000 0.0000
V 0.4992 0.4992 0.4992
Fe 0.3508 0.3508 0.3508
Fe 0.6452 0.6452 0.6452
Fe 0.8523 0.8523 0.8523
Ni 0.1435 0.1435 0.1435
P 0.0468 0.7480 0.4500
P 0.2479 0.5456 0.9502
P 0.4500 0.0468 0.7480
P 0.5456 0.9502 0.2479
P 0.7480 0.4500 0.0468
P 0.9502 0.2479 0.5456
O 0.0037 0.8229 0.6052
O 0.0588 0.8984 0.2451
O 0.0962 0.7540 0.9360
O 0.1053 0.3222 0.5051
O 0.1737 0.3959 0.9864
O 0.2451 0.0588 0.8984
O 0.2506 0.5958 0.4353
O 0.3222 0.5051 0.1053
O 0.3959 0.9864 0.1737
O 0.4020 0.5657 0.7454
O 0.4353 0.2506 0.5958
O 0.4958 0.8923 0.6714
O 0.5051 0.1053 0.3222
O 0.5657 0.7454 0.4020
O 0.5958 0.4353 0.2506
O 0.6052 0.0037 0.8229
O 0.6714 0.4958 0.8923
O 0.7454 0.4020 0.5657
O 0.7540 0.9360 0.0962
O 0.8229 0.6052 0.0037
O 0.8923 0.6714 0.4958
O 0.8984 0.2451 0.0588
O 0.9360 0.0962 0.7540
O 0.9864 0.1737 0.3959

Principal peaks in the range 5° ≤ 2θ ≤ 70°, low angle first:
2θ/deg, Rel. int.
20.5, 82
21.3, 13
24.5, 100
31.9, 15
33.8, 69
35.9, 41
48.4, 25
50.1, 28
56.2, 23
63.2, 23

***

Li2VF5: computed X-ray powder pattern (λ = 1.5418 Å (Cu Kα)), based on a cell relaxed with PBE+U.
Intensities are scaled so that the largest is 100.

abc: 7.7245 10.0911 5.3516
angles: 90.00 90.00 90.00
Sites, in units of the cell vectors:
Li 0.1393 0.0025 0.1842
Li 0.1393 0.4975 0.1842
Li 0.3607 0.5025 0.6842
Li 0.3607 0.9975 0.6842
Li 0.6393 0.0025 0.3158
Li 0.6393 0.4975 0.3158
Li 0.8607 0.5025 0.8158
Li 0.8607 0.9975 0.8158
V 0.1180 0.7500 0.7090
V 0.3820 0.2500 0.2090
V 0.6180 0.7500 0.7910
V 0.8820 0.2500 0.2910
F 0.0540 0.6144 0.9434
F 0.0540 0.8856 0.9434
F 0.1405 0.2500 0.3775
F 0.1804 0.6002 0.4877
F 0.1804 0.8998 0.4877
F 0.3196 0.1002 0.9877
F 0.3196 0.3998 0.9877
F 0.3595 0.7500 0.8775
F 0.4460 0.1144 0.4434
F 0.4460 0.3856 0.4434
F 0.5540 0.6144 0.5566
F 0.5540 0.8856 0.5566
F 0.6405 0.2500 0.1225
F 0.6804 0.6002 0.0123
F 0.6804 0.8998 0.0123
F 0.8196 0.1002 0.5123
F 0.8196 0.3998 0.5123
F 0.8595 0.7500 0.6225
F 0.9460 0.1144 0.0566
F 0.9460 0.3856 0.0566

Principal peaks in the range 5° ≤ 2θ ≤ 70°, low angle first:
2θ/deg, Rel. int.
17.6, 21
18.8, 100
24.7, 43
31.4, 15
33.7, 16
38.8, 15
44.8, 10
49.5, 20
49.7, 15
51.1, 9

***

Li7Co5O12: computed X-ray powder pattern (λ = 1.5418 Å (Cu Kα)), based on a cell relaxed with PBE+U.
Intensities are scaled so that the largest is 100.

abc: 5.0146 8.6503 9.6979
angles: 89.88 80.81 89.86
Sites, in units of the cell vectors:
Li 0.0000 0.0000 0.0000
Li 0.9997 0.4960 0.5007
Li 0.2398 0.3353 0.2552
Li 0.2455 0.4921 0.7463
Li 0.2490 0.6592 0.2544
Li 0.2506 0.1657 0.7550
Li 0.2518 0.8345 0.7555
Li 0.2577 0.9972 0.2415
Li 0.7416 0.9970 0.7580
Li 0.7487 0.8345 0.2445
Li 0.7498 0.1644 0.2458
Li 0.7516 0.6593 0.7454
Li 0.7546 0.4934 0.2527
Li 0.7626 0.3367 0.7448
Co 0.0000 0.3236 0.0000
Co 0.9999 0.6744 0.0000
Co 0.0012 0.1656 0.5007
Co 0.4975 0.3328 0.5013
Co 0.4994 0.9967 0.4988
Co 0.5001 0.1633 0.0000
Co 0.4996 0.4951 0.0000
Co 0.4998 0.6552 0.5001
Co 0.5001 0.8342 0.0000
Co 0.9988 0.8319 0.4990
O 0.1195 0.4893 0.1109
O 0.1325 0.6869 0.6112
O 0.1362 0.9975 0.6032
O 0.1395 0.1777 0.1101
O 0.1389 0.3206 0.6134
O 0.1526 0.8228 0.1133
O 0.3584 0.3258 0.8906
O 0.3591 0.8404 0.3918
O 0.3781 0.6700 0.8868
O 0.3850 0.1488 0.3842
O 0.3906 0.9955 0.8904
O 0.3971 0.4978 0.3755
O 0.6069 0.4984 0.6244
O 0.6093 0.9949 0.1092
O 0.6141 0.1467 0.6137
O 0.6227 0.6702 0.1135
O 0.6387 0.8401 0.6071
O 0.6416 0.3256 0.1098
O 0.8473 0.8232 0.8861
O 0.8591 0.9933 0.3935
O 0.8606 0.1781 0.8899
O 0.8642 0.3166 0.3913
O 0.8687 0.6843 0.3891
O 0.8803 0.4903 0.8898

Principal peaks in the range 5° ≤ 2θ ≤ 70°, low angle first:
2θ/deg, Rel. int.
13.8, 12
18.5, 100
36.3, 13
36.5, 13
36.6, 13
43.8, 28
44.2, 26
44.4, 26
48.1, 8
63.6, 14